Entry 1:
Diffraction record for Li7Mo12Se16. The powder diffraction line list is calculated, not measured: it uses DFT lattice parameters and positions (PBE) and Cu Kα, 1.54184 Å.
Peak positions follow from Bragg's law for the DFT cell and can differ from measured ones.

Top 10 peaks for 2θ from 10° to 90°, sorted by position:
2θ/deg	I/Imax	h k l
12.72	100	0 0 2
29.82	10	2 1 0
36.91	9	1 -2 4
37.12	17	2 1 -4
42.14	20	2 1 4
42.59	15	3 -1 2
42.76	30	-1 1 6
46.96	12	1 -2 6
47.18	11	-2 3 2
47.28	11	3 1 -4

Atomic structure:
```
data_Li7Mo12Se16
_chemical_formula_sum 'Li7 Mo12 Se16'
_cell_length_a 7.017
_cell_length_b 7.022
_cell_length_c 14.049
_cell_angle_alpha 95.24
_cell_angle_beta 94.67
_cell_angle_gamma 95.18
_symmetry_space_group_name_H-M 'P 1'
_symmetry_Int_Tables_number 1
loop_
_symmetry_equiv_pos_as_xyz
'x,y,z'
loop_
_atom_site_label
_atom_site_fract_x
_atom_site_fract_y
_atom_site_fract_z
Li1 0.000 0.000 0.000
Li2 0.001 0.403 0.220
Li3 0.037 0.962 0.421
Li4 0.046 0.566 0.700
Li5 0.432 0.001 0.699
Li6 0.447 0.995 0.200
Li7 0.900 0.079 0.727
Mo1 0.263 0.524 0.917
Mo2 0.266 0.524 0.418
Mo3 0.435 0.225 0.482
Mo4 0.435 0.225 0.980
Mo5 0.476 0.568 0.588
Mo6 0.479 0.566 0.088
Mo7 0.564 0.397 0.831
Mo8 0.565 0.397 0.332
Mo9 0.606 0.740 0.439
Mo10 0.608 0.736 0.939
Mo11 0.775 0.440 0.502
Mo12 0.779 0.438 0.002
Se1 0.144 0.348 0.564
Se2 0.147 0.356 0.064
Se3 0.230 0.192 0.816
Se4 0.231 0.189 0.315
Se5 0.312 0.857 0.524
Se6 0.313 0.853 0.024
Se7 0.395 0.687 0.275
Se8 0.397 0.689 0.774
Se9 0.648 0.276 0.647
Se10 0.649 0.273 0.146
Se11 0.725 0.110 0.395
Se12 0.730 0.105 0.893
Se13 0.807 0.776 0.604
Se14 0.811 0.765 0.105
Se15 0.895 0.609 0.856
Se16 0.896 0.611 0.356
```

***

Entry 2:
Diffraction record for Li3N. The powder diffraction line list is calculated, not measured: it uses DFT lattice parameters and positions (PBE) and Cu Kα, 1.54184 Å.
Peak positions follow from Bragg's law for the DFT cell and can differ from measured ones.

Top 10 peaks for 2θ from 10° to 90°, sorted by position:
2θ/deg	I/Imax	h k l
22.87	100	0 0 1
28.23	88	1 0 0
36.63	4	1 0 1
46.72	26	0 0 2
49.97	62	1 1 0
55.48	15	1 0 2
55.62	32	1 1 1
58.38	6	2 0 0
70.80	36	1 1 2
77.88	4	2 0 2

Atomic structure:
```
data_Li3N
_chemical_formula_sum 'Li3 N1'
_cell_length_a 3.6507
_cell_length_b 3.6507
_cell_length_c 3.8886
_cell_angle_alpha 90.00
_cell_angle_beta 90.00
_cell_angle_gamma 120.00
_symmetry_space_group_name_H-M 'P 6/m m m'
_symmetry_Int_Tables_number 191
_symmetry_space_group_name_Hall '-P 6 2'
loop_
_atom_site_label
_atom_site_fract_x
_atom_site_fract_y
_atom_site_fract_z
Li1 0.0000 0.0000 0.0000
Li2 0.3333 0.6667 0.5000
N1 0.0000 0.0000 0.5000
```

***

Entry 3:
Diffraction record for Li3N2. The powder diffraction line list is calculated, not measured: it uses DFT lattice parameters and positions (PBE) and Cu Kα, 1.54184 Å.
Peak positions follow from Bragg's law for the DFT cell and can differ from measured ones.

Top 10 peaks for 2θ from 10° to 90°, sorted by position:
2θ/deg	I/Imax	h k l
18.96	16	0 0 1
31.80	100	1 0 1
36.06	6	1 1 0
46.60	5	1 0 2
51.91	23	2 0 0
53.75	37	1 1 2
62.18	16	2 1 1
65.44	5	1 0 3
76.49	6	2 2 0
88.13	3	2 1 3

Atomic structure:
```
data_Li3N2
_chemical_formula_sum 'Li3 N2'
_cell_length_a 3.523
_cell_length_b 3.523
_cell_length_c 4.680
_cell_angle_alpha 90.00
_cell_angle_beta 90.00
_cell_angle_gamma 90.00
_symmetry_space_group_name_H-M 'P -4 m 2'
_symmetry_Int_Tables_number 115
loop_
_symmetry_equiv_pos_as_xyz
'x,y,z'
'y,-x,-z'
'-x,-y,z'
'-y,x,-z'
'-x,y,z'
'-y,-x,-z'
'x,-y,z'
'y,x,-z'
loop_
_atom_site_label
_atom_site_fract_x
_atom_site_fract_y
_atom_site_fract_z
Li1 0.000 0.000 0.000
Li2 0.000 0.000 0.500
Li3 0.500 0.500 0.000
N1 0.000 0.500 0.219
```

***

Entry 4:
Diffraction record for Li3N. The powder diffraction line list is calculated, not measured: it uses DFT lattice parameters and positions (PBE) and Cu Kα, 1.54184 Å.
Peak positions follow from Bragg's law for the DFT cell and can differ from measured ones.

Top 10 peaks for 2θ from 10° to 90°, sorted by position:
2θ/deg	I/Imax	h k l
28.11	47	0 0 2
28.92	36	1 0 0
32.24	66	1 0 1
51.26	100	1 1 0
52.42	90	1 0 3
58.12	5	0 0 4
59.48	17	1 1 2
61.86	4	2 0 1
76.37	23	2 0 3
81.14	8	1 1 4

Atomic structure:
```
data_Li3N
_chemical_formula_sum 'Li6 N2'
_cell_length_a 3.5645
_cell_length_b 3.5645
_cell_length_c 6.3490
_cell_angle_alpha 90.00
_cell_angle_beta 90.00
_cell_angle_gamma 120.00
_symmetry_space_group_name_H-M 'P 63/m m c'
_symmetry_Int_Tables_number 194
_symmetry_space_group_name_Hall '-P 6c 2c'
loop_
_atom_site_label
_atom_site_fract_x
_atom_site_fract_y
_atom_site_fract_z
Li1 0.0000 0.0000 0.2500
Li2 0.3333 0.6667 0.0767
N1 0.3333 0.6667 0.7500
```